[1]
Structure and simulated powder diffractogram of Al2PdO4 (a cell relaxed with PBE; Cu Kα, 1.54184 Å).
No peak broadening, texture or thermal motion is included.

Top 8 peaks for 10° ≤ 2θ ≤ 80°, low angle first:
d_spacing, 2theta, I_rel
4.831, 18.36, 48
3.493, 25.50, 61
2.744, 32.64, 24
2.563, 35.01, 22
2.442, 36.80, 100
1.873, 48.61, 26
1.519, 60.99, 23
1.455, 63.97, 27

Structure:
a b c (Å): 5.1263 9.6624 5.4876
angles (deg): 90.00 90.00 90.00
Atoms (fractional coordinates):
1 Al 0.0162 0.1612 0.0602
2 Al 0.0162 0.3388 0.5602
3 Al 0.4838 0.6612 0.0602
4 Al 0.4838 0.8388 0.5602
5 Al 0.5162 0.1612 0.4398
6 Al 0.5162 0.3388 0.9398
7 Al 0.9838 0.6612 0.4398
8 Al 0.9838 0.8388 0.9398
9 Pd 0.0000 0.0000 0.5000
10 Pd 0.0000 0.5000 0.0000
11 Pd 0.5000 0.0000 0.0000
12 Pd 0.5000 0.5000 0.5000
13 O 0.1409 0.5172 0.6568
14 O 0.1409 0.9828 0.1568
15 O 0.2005 0.2353 0.3423
16 O 0.2005 0.2647 0.8423
17 O 0.2995 0.7353 0.3423
18 O 0.2995 0.7647 0.8423
19 O 0.3591 0.0172 0.6568
20 O 0.3591 0.4828 0.1568
21 O 0.6409 0.5172 0.8432
22 O 0.6409 0.9828 0.3432
23 O 0.7005 0.2353 0.1577
24 O 0.7005 0.2647 0.6577
25 O 0.7995 0.7353 0.1577
26 O 0.7995 0.7647 0.6577
27 O 0.8591 0.0172 0.8432
28 O 0.8591 0.4828 0.3432

[2]
Structure and simulated powder diffractogram of Li4Cu2SnPb (a cell relaxed with PBE; Cu Kα, 1.54184 Å).
No peak broadening, texture or thermal motion is included.

Top 8 peaks for 10° ≤ 2θ ≤ 80°, low angle first:
d_spacing, 2theta, I_rel
3.653, 24.36, 100
3.168, 28.17, 10
2.237, 40.31, 82
1.910, 47.62, 34
1.905, 47.75, 17
1.584, 58.25, 9
1.451, 64.19, 14
1.292, 73.24, 19

Structure:
a b c (Å): 4.4798 4.4798 6.3126
angles (deg): 90.00 90.00 90.00
Atoms (fractional coordinates):
1 Li 0.0000 0.0000 0.0000
2 Li 0.0000 0.5000 0.7456
3 Li 0.5000 0.0000 0.2544
4 Li 0.5000 0.5000 0.5000
5 Cu 0.0000 0.5000 0.2649
6 Cu 0.5000 0.0000 0.7351
7 Sn 0.0000 0.0000 0.5000
8 Pb 0.5000 0.5000 0.0000

[3]
Structure and simulated powder diffractogram of NdGdTlCu2 (a cell relaxed with PBE; Cu Kα, 1.54184 Å).
No peak broadening, texture or thermal motion is included.

Top 8 peaks for 10° ≤ 2θ ≤ 80°, low angle first:
d_spacing, 2theta, I_rel
3.212, 27.78, 44
2.756, 32.48, 100
2.558, 35.08, 63
2.386, 37.71, 40
2.179, 41.44, 27
1.837, 49.62, 16
1.659, 55.39, 34
1.456, 63.96, 17

Structure:
a b c (Å): 3.6745 4.3582 14.2541
angles (deg): 90.00 90.00 90.00
Atoms (fractional coordinates):
1 Nd 0.0000 0.0000 0.0000
2 Nd 0.0000 0.5000 0.5000
3 Gd 0.0000 0.0000 0.7321
4 Gd 0.0000 0.5000 0.2321
5 Tl 0.5000 0.0000 0.3647
6 Tl 0.5000 0.5000 0.8647
7 Cu 0.5000 0.0000 0.1658
8 Cu 0.5000 0.0000 0.5729
9 Cu 0.5000 0.5000 0.0729
10 Cu 0.5000 0.5000 0.6658

[4]
Structure and simulated powder diffractogram of TbYIn6 (a cell relaxed with PBE; Cu Kα, 1.54184 Å).
No peak broadening, texture or thermal motion is included.

Top 8 peaks for 10° ≤ 2θ ≤ 80°, low angle first:
d_spacing, 2theta, I_rel
2.885, 30.99, 25
2.587, 34.67, 24
2.520, 35.63, 100
1.926, 47.18, 15
1.666, 55.13, 19
1.481, 62.76, 18
1.401, 66.79, 20
1.390, 67.39, 15

Structure:
a b c (Å): 6.6632 6.6632 5.1749
angles (deg): 90.00 90.00 120.00
Atoms (fractional coordinates):
1 Tb 0.0000 0.0000 0.0000
2 Y 0.6667 0.3333 0.5000
3 In 0.0113 0.5057 0.0000
4 In 0.1726 0.3451 0.5000
5 In 0.1726 0.8274 0.5000
6 In 0.4943 0.5057 0.0000
7 In 0.4943 0.9887 0.0000
8 In 0.6549 0.8274 0.5000

[5]
Structure and simulated powder diffractogram of AlCdB4 (a cell relaxed with PBE; Cu Kα, 1.54184 Å).
No peak broadening, texture or thermal motion is included.

Top 8 peaks for 10° ≤ 2θ ≤ 80°, low angle first:
d_spacing, 2theta, I_rel
7.262, 12.19, 82
3.631, 24.52, 36
2.654, 33.77, 62
2.493, 36.03, 55
2.143, 42.18, 100
1.532, 60.41, 20
1.499, 61.92, 31
1.246, 76.42, 16

Structure:
a b c (Å): 3.0647 3.0647 7.2617
angles (deg): 90.00 90.00 120.00
Atoms (fractional coordinates):
1 Al 0.0000 0.0000 0.0000
2 Cd 0.0000 0.0000 0.5000
3 B 0.3333 0.6667 0.2118
4 B 0.3333 0.6667 0.7882
5 B 0.6667 0.3333 0.2118
6 B 0.6667 0.3333 0.7882

[6]
Structure and simulated powder diffractogram of BaDyZnSb2 (a cell relaxed with PBE; Cu Kα, 1.54184 Å).
No peak broadening, texture or thermal motion is included.

Top 8 peaks for 10° ≤ 2θ ≤ 80°, low angle first:
d_spacing, 2theta, I_rel
3.314, 26.90, 66
2.903, 30.80, 66
2.819, 31.74, 51
2.807, 31.88, 26
2.578, 34.80, 100
2.355, 38.21, 40
2.298, 39.20, 23
1.808, 50.49, 27

Structure:
a b c (Å): 9.5113 9.5113 7.1201
angles (deg): 90.00 90.00 151.32
Atoms (fractional coordinates):
1 Ba 0.2020 0.7980 0.5000
2 Ba 0.7980 0.2020 0.0000
3 Dy 0.0078 0.9922 0.2349
4 Dy 0.9922 0.0078 0.7349
5 Zn 0.4096 0.5904 0.3850
6 Zn 0.5904 0.4096 0.8850
7 Sb 0.1508 0.8492 0.9935
8 Sb 0.4366 0.5634 0.9954
9 Sb 0.5634 0.4366 0.4954
10 Sb 0.8492 0.1508 0.4935

[7]
Structure and simulated powder diffractogram of ZnCdCuSnSe4 (a cell relaxed with PBE; Cu Kα, 1.54184 Å).
No peak broadening, texture or thermal motion is included.

Top 8 peaks for 10° ≤ 2θ ≤ 80°, low angle first:
d_spacing, 2theta, I_rel
3.444, 25.87, 100
2.116, 42.73, 49
2.096, 43.17, 23
1.816, 50.24, 16
1.790, 51.01, 28
1.372, 68.35, 11
1.226, 77.94, 8
1.214, 78.85, 13

Structure:
a b c (Å): 5.9278 5.9278 12.0891
angles (deg): 90.00 90.00 90.00
Atoms (fractional coordinates):
1 Zn 0.0000 0.0000 0.0000
2 Zn 0.5000 0.5000 0.5000
3 Cd 0.0000 0.0000 0.5000
4 Cd 0.5000 0.5000 0.0000
5 Cu 0.0000 0.5000 0.7500
6 Cu 0.5000 0.0000 0.2500
7 Sn 0.0000 0.5000 0.2500
8 Sn 0.5000 0.0000 0.7500
9 Se 0.2123 0.7382 0.8753
10 Se 0.2382 0.2877 0.6247
11 Se 0.2618 0.2123 0.1247
12 Se 0.2877 0.7618 0.3753
13 Se 0.7123 0.2382 0.3753
14 Se 0.7382 0.7877 0.1247
15 Se 0.7618 0.7123 0.6247
16 Se 0.7877 0.2618 0.8753

[8]
Structure and simulated powder diffractogram of ZnCu2SiTeSe3 (a cell relaxed with PBE; Cu Kα, 1.54184 Å).
No peak broadening, texture or thermal motion is included.

Top 8 peaks for 10° ≤ 2θ ≤ 80°, low angle first:
d_spacing, 2theta, I_rel
3.308, 26.95, 32
3.270, 27.27, 100
2.020, 44.87, 15
2.015, 44.98, 31
1.999, 45.36, 44
1.723, 53.15, 11
1.712, 53.52, 17
1.706, 53.74, 14

Structure:
a b c (Å): 8.0803 7.9975 6.9264
angles (deg): 90.00 125.03 90.00
Atoms (fractional coordinates):
1 Zn 0.0000 0.0000 0.0000
2 Zn 0.5000 0.5000 0.0000
3 Cu 0.0020 0.2639 0.5212
4 Cu 0.0020 0.7361 0.5212
5 Cu 0.5020 0.2361 0.5212
6 Cu 0.5020 0.7639 0.5212
7 Si 0.4812 0.0000 0.0012
8 Si 0.9812 0.5000 0.0012
9 Te 0.3644 0.5000 0.2694
10 Te 0.8644 0.0000 0.2694
11 Se 0.3666 0.2359 0.7542
12 Se 0.3666 0.7641 0.7542
13 Se 0.3777 0.0000 0.2537
14 Se 0.8666 0.2641 0.7542
15 Se 0.8666 0.7359 0.7542
16 Se 0.8777 0.5000 0.2537